No. 1
Starting from DFT lattice parameters and positions (PBE), the X-ray diffraction stick pattern of Ba2TlHg5 was simulated for λ = 1.5418 Å (Cu Kα).
Intensities are scaled so that the largest is 100.

Principal peaks in the range 5 to 70 degrees two-theta, sorted by position:
h k l, Position (°2θ), d [Å], I_rel
1 1 0, 17.63, 5.031, 29
1 3 2, 27.97, 3.190, 81
1 5 0, 29.17, 3.062, 100
1 1 3, 31.15, 2.871, 92
0 6 2, 33.18, 2.700, 52
2 0 0, 34.36, 2.610, 90
0 6 3, 38.49, 2.339, 72
1 1 4, 38.72, 2.325, 33
1 5 3, 39.11, 2.303, 29
1 3 4, 41.10, 2.196, 41
2 6 2, 48.51, 1.877, 36
2 6 3, 52.52, 1.742, 32

Atomic structure:
Cell: 5.2198 18.9002 10.4888 Å, 90.00 90.00 90.00°
Space group Cmcm (No. 63)
Unique sites:
Ba: 0.0000 0.0000 0.0000 (multiplicity 4)
Ba: 0.0000 0.2062 0.2500 (multiplicity 4)
Tl: 0.0000 0.4449 0.7500 (multiplicity 4)
Hg: 0.0000 0.1876 0.6041 (multiplicity 8)
Hg: 0.0000 0.3517 0.5227 (multiplicity 8)
Hg: 0.0000 0.4003 0.2500 (multiplicity 4)

***

No. 2
Starting from DFT lattice parameters and positions (PBE), the X-ray diffraction stick pattern of Pm8PC3Cl4 was simulated for λ = 1.5418 Å (Cu Kα).
Intensities are scaled so that the largest is 100.

Principal peaks in the range 5 to 70 degrees two-theta, sorted by position:
h k l, Position (°2θ), d [Å], I_rel
0 0 3, 12.54, 7.057, 19
0 0 6, 25.24, 3.529, 18
2 0 2, 28.06, 3.180, 74
0 2 4, 31.72, 2.821, 100
2 0 5, 34.23, 2.619, 27
0 0 9, 38.26, 2.352, 15
0 2 7, 40.26, 2.240, 19
2 0 8, 43.67, 2.073, 21
2 2 0, 47.22, 1.925, 37
2 0 11, 55.10, 1.667, 14
4 0 4, 58.01, 1.590, 16
2 2 9, 62.33, 1.490, 20

Atomic structure:
Cell: 7.6994 7.6994 21.1712 Å, 90.00 90.00 120.00°
Space group R-3m (No. 166, hexagonal axes)
Unique sites:
Pm: 0.0000 0.0000 0.2300 (multiplicity 6)
Pm: 0.0212 0.5106 0.7678 (multiplicity 18)
P: 0.0000 0.0000 0.5000 (multiplicity 3)
C: 0.0000 0.5000 0.5000 (multiplicity 9)
Cl: 0.0000 0.0000 0.0000 (multiplicity 3)
Cl: 0.0000 0.5000 0.0000 (multiplicity 9)

***

No. 3
Starting from DFT lattice parameters and positions (PBE), the X-ray diffraction stick pattern of GaCu2SbAu4 was simulated for λ = 1.5418 Å (Cu Kα).
Intensities are scaled so that the largest is 100.

Principal peaks in the range 5 to 70 degrees two-theta, sorted by position:
h k l, Position (°2θ), d [Å], I_rel
1 0 4, 27.22, 3.276, 40
0 1 5, 29.33, 3.045, 8
1 0 7, 34.38, 2.608, 7
0 1 8, 37.23, 2.415, 100
1 1 0, 40.48, 2.229, 97
1 0 10, 43.41, 2.085, 5
0 1 11, 46.70, 1.945, 9
0 2 4, 49.46, 1.843, 9
2 0 8, 56.16, 1.638, 30
1 1 12, 61.20, 1.514, 4
1 0 16, 64.90, 1.437, 10
2 1 4, 65.76, 1.420, 8

Atomic structure:
Cell: 4.4573 4.4573 24.7690 Å, 90.00 90.00 120.00°
Space group R-3m (No. 166, hexagonal axes)
Unique sites:
Ga: 0.0000 0.0000 0.0000 (multiplicity 3)
Cu: 0.0000 0.0000 0.2577 (multiplicity 6)
Sb: 0.0000 0.0000 0.5000 (multiplicity 3)
Au: 0.0000 0.0000 0.1114 (multiplicity 6)
Au: 0.0000 0.0000 0.3714 (multiplicity 6)

***

No. 4
Starting from DFT lattice parameters and positions (PBE), the X-ray diffraction stick pattern of SbPb3 was simulated for λ = 1.5418 Å (Cu Kα).
Intensities are scaled so that the largest is 100.

Principal peaks in the range 5 to 70 degrees two-theta, sorted by position:
h k l, Position (°2θ), d [Å], I_rel
0 0 2, 31.11, 2.875, 42
2 2 1, 31.30, 2.858, 100
1 3 0, 32.11, 2.788, 21
3 1 1, 32.53, 2.752, 46
4 0 0, 35.62, 2.521, 11
1 3 2, 45.32, 2.001, 17
4 0 2, 48.00, 1.895, 10
2 4 1, 48.23, 1.887, 8
5 3 0, 55.48, 1.656, 34
3 1 3, 56.26, 1.635, 10
3 5 1, 62.20, 1.492, 18
5 3 2, 65.00, 1.435, 17

Atomic structure:
Cell: 10.0826 8.7018 5.7491 Å, 90.00 90.00 90.00°
Space group Cmcm (No. 63)
Unique sites:
Sb: 0.0000 0.0614 0.2500 (multiplicity 4)
Pb: 0.0000 0.3377 0.7500 (multiplicity 4)
Pb: 0.1995 0.3424 0.2500 (multiplicity 8)

***

No. 5
Starting from DFT lattice parameters and positions (PBE), the X-ray diffraction stick pattern of UPaN4 was simulated for λ = 1.5418 Å (Cu Kα).
Intensities are scaled so that the largest is 100.

Principal peaks in the range 5 to 70 degrees two-theta, sorted by position:
h k l, Position (°2θ), d [Å], I_rel
0 1 2, 28.83, 3.097, 100
0 0 6, 29.08, 3.071, 33
1 0 4, 33.48, 2.676, 53
1 1 0, 47.91, 1.899, 31
0 1 8, 48.24, 1.886, 30
2 0 2, 56.89, 1.619, 16
1 1 6, 57.03, 1.615, 31
1 0 10, 57.32, 1.607, 15
0 2 4, 59.72, 1.548, 11
0 0 12, 60.28, 1.535, 4

Atomic structure:
Cell: 3.7971 3.7971 18.4233 Å, 90.00 90.00 120.00°
Space group R-3m (No. 166, hexagonal axes)
Unique sites:
U: 0.0000 0.0000 0.0000 (multiplicity 3)
Pa: 0.0000 0.0000 0.5000 (multiplicity 3)
N: 0.0000 0.0000 0.1210 (multiplicity 6)
N: 0.0000 0.0000 0.3713 (multiplicity 6)

***

No. 6
Starting from DFT lattice parameters and positions (PBE), the X-ray diffraction stick pattern of Dy15HoTm4 was simulated for λ = 1.5418 Å (Cu Kα).
Intensities are scaled so that the largest is 100.

Principal peaks in the range 5 to 70 degrees two-theta, sorted by position:
h k l, Position (°2θ), d [Å], I_rel
1 1 5, 31.02, 2.883, 100
2 0 0, 35.97, 2.497, 51
2 2 0, 51.78, 1.766, 36
3 1 5, 61.59, 1.506, 43
2 2 10, 64.65, 1.442, 12

Atomic structure:
Cell: 4.9953 4.9953 24.9588 Å, 90.00 90.00 90.00°
Space group P4/mmm (No. 123)
Unique sites:
Dy: 0.0000 0.0000 0.0000 (multiplicity 1)
Dy: 0.0000 0.0000 0.2003 (multiplicity 2)
Dy: 0.0000 0.0000 0.4000 (multiplicity 2)
Dy: 0.0000 0.5000 0.1003 (multiplicity 4)
Dy: 0.0000 0.5000 0.3001 (multiplicity 4)
Dy: 0.0000 0.5000 0.5000 (multiplicity 2)
Ho: 0.5000 0.5000 0.0000 (multiplicity 1)
Tm: 0.5000 0.5000 0.2002 (multiplicity 2)
Tm: 0.5000 0.5000 0.4000 (multiplicity 2)